The following is a theoretical X-ray diffraction stick pattern of Fe4O3F5. It was derived from a DFT-relaxed cell (PBE+U, Alexandria), using Cu Kα.
No peak broadening, texture or thermal motion is included.

Peak list (6 most intense, 2θ = 10–80°, by intensity)
- 26.3°, I 100
- 34.4°, I 40
- 51.8°, I 28
- 52.0°, I 28
- 54.2°, I 15
- 34.5°, I 13

Cell and atoms:
```
data_Fe4O3F5
_chemical_formula_sum 'Fe8 O6 F10'
_symmetry_space_group_name_H-M 'P 1 21 1'
_symmetry_Int_Tables_number 4
_symmetry_space_group_name_Hall 'P 2yb'
_cell_length_a 6.2007
_cell_length_b 4.7919
_cell_length_c 10.0501
_cell_angle_alpha 90.00
_cell_angle_beta 107.67
_cell_angle_gamma 90.00
loop_
_atom_site_label
_atom_site_fract_x
_atom_site_fract_y
_atom_site_fract_z
Fe1 0.0598 0.0000 0.3652
Fe2 0.1931 0.4456 0.1310
Fe3 0.3206 0.9037 0.8908
Fe4 0.4282 0.4275 0.6013
O1 0.0257 0.7625 0.7930
O2 0.3374 0.1431 0.4589
O3 0.3899 0.6181 0.0369
F1 0.1158 0.1379 0.9813
F2 0.1236 0.6711 0.5231
F3 0.2232 0.2583 0.7272
F4 0.2462 0.7427 0.2706
F5 0.4874 0.2349 0.2236
```